For Ni2PRh, a DFT-relaxed cell (PBE, Alexandria) gives the theoretical X-ray powder pattern in this record (a wavelength of 1.5418 Å).

Top 10 peaks for 10 to 80 degrees two-theta, low angle first:
2θ (°), Rel. int., hkl
30.80, 13, 1 1 1
34.79, 16, 0 2 2
38.79, 100, 1 1 2
42.28, 42, 1 3 0
44.49, 50, 1 3 1
46.47, 35, 0 2 3
46.98, 21, 0 4 1
52.08, 28, 2 0 0
72.35, 17, 2 2 3
77.87, 16, 1 5 3

Structure:
```
data_Ni2PRh
_chemical_formula_sum 'Ni8 P4 Rh4'
_symmetry_space_group_name_H-M 'C m c m'
_symmetry_Int_Tables_number 63
_symmetry_space_group_name_Hall '-C 2c 2'
_cell_length_a 3.5119
_cell_length_b 8.0813
_cell_length_c 6.6976
_cell_angle_alpha 90.00
_cell_angle_beta 90.00
_cell_angle_gamma 90.00
loop_
_atom_site_label
_atom_site_type_symbol
_atom_site_fract_x
_atom_site_fract_y
_atom_site_fract_z
_atom_site_occupancy
Ni1 Ni 0.0000 0.1471 0.0575 1
P1 P 0.0000 0.2614 0.7500 1
Rh1 Rh 0.0000 0.4434 0.2500 1
```

For NiP2Rh, a DFT-relaxed cell (PBE, Alexandria) gives the theoretical X-ray powder pattern in this record (a wavelength of 1.5418 Å).

Top 10 peaks for 10 to 80 degrees two-theta, low angle first:
2θ (°), Rel. int., hkl
17.17, 6, 0 0 1
29.57, 86, 1 0 0
34.39, 28, 1 0 1
34.74, 12, 0 0 2
46.25, 100, 0 1 2
52.46, 45, 1 1 0
61.38, 10, 2 0 0
64.47, 11, 1 1 2
72.49, 25, 2 0 2
73.32, 5, 0 0 4

Structure:
```
data_NiP2Rh
_chemical_formula_sum 'Ni1 P2 Rh1'
_symmetry_space_group_name_H-M 'P -3 m 1'
_symmetry_Int_Tables_number 164
_symmetry_space_group_name_Hall '-P 3 2"'
_cell_length_a 3.4884
_cell_length_b 3.4884
_cell_length_c 5.1648
_cell_angle_alpha 90.00
_cell_angle_beta 90.00
_cell_angle_gamma 120.00
loop_
_atom_site_label
_atom_site_type_symbol
_atom_site_fract_x
_atom_site_fract_y
_atom_site_fract_z
_atom_site_occupancy
Ni1 Ni 0.0000 0.0000 0.0000 1
P1 P 0.3333 0.6667 0.2285 1
Rh1 Rh 0.0000 0.0000 0.5000 1
```

For Ni2PRh, a DFT-relaxed cell (PBE, Alexandria) gives the theoretical X-ray powder pattern in this record (a wavelength of 1.5418 Å).

Top 10 peaks for 10 to 80 degrees two-theta, low angle first:
2θ (°), Rel. int., hkl
34.18, 25, 1 1 2
37.38, 33, 0 1 3
40.56, 100, 1 2 1
44.97, 18, 0 0 4
45.11, 13, 2 1 1
46.24, 60, 2 0 2
52.15, 32, 1 2 3
52.57, 16, 1 1 4
73.18, 16, 3 2 1
74.52, 10, 2 1 5

Structure:
```
data_Ni2PRh
_chemical_formula_sum 'Ni8 P4 Rh4'
_symmetry_space_group_name_H-M 'I 21 21 21'
_symmetry_Int_Tables_number 24
_cell_length_a 4.4959
_cell_length_b 5.3986
_cell_length_c 8.0627
_cell_angle_alpha 90.00
_cell_angle_beta 90.00
_cell_angle_gamma 90.00
loop_
_symmetry_equiv_pos_as_xyz
'x,y,z'
'-x,-y+1/2,z'
'x,-y,-z+1/2'
'-x,y+1/2,-z+1/2'
'x+1/2,y+1/2,z+1/2'
'-x+1/2,-y,z+1/2'
'x+1/2,-y+1/2,-z'
'-x+1/2,y,-z'
loop_
_atom_site_label
_atom_site_type_symbol
_atom_site_fract_x
_atom_site_fract_y
_atom_site_fract_z
_atom_site_occupancy
Ni1 Ni 0.0147 0.0000 0.2500 1
Ni2 Ni 0.2500 0.3797 0.5000 1
P1 P 0.2500 0.0251 0.0000 1
Rh1 Rh 0.0000 0.2500 0.8053 1
```

For Ni2PS4, a DFT-relaxed cell (PBE, Alexandria) gives the theoretical X-ray powder pattern in this record (a wavelength of 1.5418 Å).

Top 10 peaks for 10 to 80 degrees two-theta, low angle first:
2θ (°), Rel. int., hkl
17.90, 22, 1 0 1
20.38, 100, 0 0 2
20.86, 29, 1 1 0
29.32, 58, 1 1 2
42.45, 38, 2 2 0
46.84, 17, 1 1 4
47.52, 35, 2 2 2
51.79, 21, 2 0 4
52.43, 20, 3 1 2
72.21, 14, 2 0 6

Structure:
```
data_Ni2PS4
_chemical_formula_sum 'Ni4 P2 S8'
_symmetry_space_group_name_H-M 'I -4 2 m'
_symmetry_Int_Tables_number 121
_symmetry_space_group_name_Hall 'I -4 2'
_cell_length_a 6.0230
_cell_length_b 6.0230
_cell_length_c 8.7153
_cell_angle_alpha 90.00
_cell_angle_beta 90.00
_cell_angle_gamma 90.00
loop_
_atom_site_label
_atom_site_type_symbol
_atom_site_fract_x
_atom_site_fract_y
_atom_site_fract_z
_atom_site_occupancy
Ni1 Ni 0.0000 0.5000 0.0000 1
P1 P 0.0000 0.0000 0.0000 1
S1 S 0.2303 0.2303 0.0770 1
```

For Ni10SbP3, a DFT-relaxed cell (PBE, Alexandria) gives the theoretical X-ray powder pattern in this record (a wavelength of 1.5418 Å).

Top 10 peaks for 10 to 80 degrees two-theta, low angle first:
2θ (°), Rel. int., hkl
36.38, 58, 1 1 3
36.98, 36, 1 2 1
38.91, 32, 2 0 3
40.47, 37, 1 2 2
41.84, 57, 3 0 1
44.24, 53, 1 1 4
45.01, 49, 0 3 2
46.41, 95, 2 0 4
47.40, 100, 2 2 0
76.59, 22, 1 4 4

Structure:
```
data_Ni10SbP3
_chemical_formula_sum 'Ni30 Sb3 P9'
_symmetry_space_group_name_H-M 'P -3 m 1'
_symmetry_Int_Tables_number 164
_symmetry_space_group_name_Hall '-P 3 2"'
_cell_length_a 7.6717
_cell_length_b 7.6717
_cell_length_c 9.6827
_cell_angle_alpha 90.00
_cell_angle_beta 90.00
_cell_angle_gamma 120.00
loop_
_atom_site_label
_atom_site_type_symbol
_atom_site_fract_x
_atom_site_fract_y
_atom_site_fract_z
_atom_site_occupancy
Ni1 Ni 0.0000 0.0000 0.1195 1
Ni2 Ni 0.0000 0.3369 0.0000 1
Ni3 Ni 0.0156 0.5078 0.2589 1
Ni4 Ni 0.1351 0.2703 0.6971 1
Ni5 Ni 0.1897 0.3793 0.4272 1
Ni6 Ni 0.3333 0.6667 0.1110 1
Ni7 Ni 0.3333 0.6667 0.5973 1
Sb1 Sb 0.0000 0.0000 0.5000 1
Sb2 Sb 0.3333 0.6667 0.8593 1
P1 P 0.0000 0.5000 0.5000 1
P2 P 0.1648 0.3296 0.1906 1
```

For Sc2NiP, a DFT-relaxed cell (PBE, Alexandria) gives the theoretical X-ray powder pattern in this record (a wavelength of 1.5418 Å).

Top 7 peaks for 10 to 80 degrees two-theta, low angle first:
2θ (°), Rel. int., hkl
24.13, 8, 1 1 1
39.92, 100, 2 2 0
47.19, 4, 3 1 1
57.73, 15, 4 0 0
63.48, 2, 3 3 1
72.49, 30, 4 2 2
77.67, 1, 5 1 1

Structure:
```
data_Sc2NiP
_chemical_formula_sum 'Sc8 Ni4 P4'
_symmetry_space_group_name_H-M 'F m -3 m'
_symmetry_Int_Tables_number 225
_symmetry_space_group_name_Hall '-F 4 2 3'
_cell_length_a 6.3879
_cell_length_b 6.3879
_cell_length_c 6.3879
_cell_angle_alpha 90.00
_cell_angle_beta 90.00
_cell_angle_gamma 90.00
loop_
_atom_site_label
_atom_site_type_symbol
_atom_site_fract_x
_atom_site_fract_y
_atom_site_fract_z
_atom_site_occupancy
Sc1 Sc 0.2500 0.2500 0.2500 1
Ni1 Ni 0.0000 0.0000 0.0000 1
P1 P 0.0000 0.0000 0.5000 1
```

For ScNi5P3, a DFT-relaxed cell (PBE, Alexandria) gives the theoretical X-ray powder pattern in this record (a wavelength of 1.5418 Å).

Top 10 peaks for 10 to 80 degrees two-theta, low angle first:
2θ (°), Rel. int., hkl
15.72, 59, 0 0 2
17.04, 52, 0 2 1
34.47, 65, 1 3 0
35.39, 44, 1 3 1
35.94, 92, 1 1 3
41.91, 100, 1 1 4
46.66, 44, 1 5 0
49.54, 72, 1 5 2
51.06, 69, 0 2 6
52.45, 67, 2 0 0

Structure:
```
data_ScNi5P3
_chemical_formula_sum 'Sc4 Ni20 P12'
_symmetry_space_group_name_H-M 'C m c m'
_symmetry_Int_Tables_number 63
_symmetry_space_group_name_Hall '-C 2c 2'
_cell_length_a 3.4890
_cell_length_b 11.7270
_cell_length_c 11.2768
_cell_angle_alpha 90.00
_cell_angle_beta 90.00
_cell_angle_gamma 90.00
loop_
_atom_site_label
_atom_site_type_symbol
_atom_site_fract_x
_atom_site_fract_y
_atom_site_fract_z
_atom_site_occupancy
Sc1 Sc 0.0000 0.1426 0.2500 1
Ni1 Ni 0.0000 0.0000 0.0000 1
Ni2 Ni 0.0000 0.2024 0.5738 1
Ni3 Ni 0.0000 0.4485 0.1445 1
P1 P 0.0000 0.1207 0.7500 1
P2 P 0.0000 0.3823 0.5490 1
```

For Sc3Ni6P5, a DFT-relaxed cell (PBE, Alexandria) gives the theoretical X-ray powder pattern in this record (a wavelength of 1.5418 Å).

Top 10 peaks for 10 to 80 degrees two-theta, low angle first:
2θ (°), Rel. int., hkl
19.65, 33, 0 0 2
35.36, 14, 1 2 2
38.23, 25, 0 3 3
38.75, 27, 1 0 3
39.72, 100, 1 3 2
48.22, 24, 0 6 0
48.36, 15, 1 5 1
49.96, 32, 2 0 0
53.52, 23, 1 3 4
72.35, 16, 1 3 6

Structure:
```
data_Sc3Ni6P5
_chemical_formula_sum 'Sc6 Ni12 P10'
_symmetry_space_group_name_H-M 'P m m n'
_symmetry_Int_Tables_number 59
_cell_length_a 3.6512
_cell_length_b 11.3224
_cell_length_c 9.0373
_cell_angle_alpha 90.00
_cell_angle_beta 90.00
_cell_angle_gamma 90.00
loop_
_symmetry_equiv_pos_as_xyz
'x,y,z'
'-x,-y,-z'
'-x+1/2,-y+1/2,z'
'x+1/2,y+1/2,-z'
'x+1/2,-y,-z'
'-x+1/2,y,z'
'-x,y+1/2,-z'
'x,-y+1/2,z'
loop_
_atom_site_label
_atom_site_type_symbol
_atom_site_fract_x
_atom_site_fract_y
_atom_site_fract_z
_atom_site_occupancy
Sc1 Sc 0.2500 0.0908 0.2436 1
Sc2 Sc 0.2500 0.7500 0.2569 1
Ni1 Ni 0.2500 0.0600 0.6019 1
Ni2 Ni 0.2500 0.2500 0.4780 1
Ni3 Ni 0.2500 0.2500 0.9848 1
Ni4 Ni 0.2500 0.5804 0.0064 1
P1 P 0.2500 0.0809 0.8465 1
P2 P 0.2500 0.6289 0.5286 1
P3 P 0.2500 0.7500 0.8655 1
```

For Sc2NiP, a DFT-relaxed cell (PBE, Alexandria) gives the theoretical X-ray powder pattern in this record (a wavelength of 1.5418 Å).

Top 10 peaks for 10 to 80 degrees two-theta, low angle first:
2θ (°), Rel. int., hkl
18.14, 22, 0 0 2
35.41, 100, 1 1 1
36.76, 21, 0 0 4
37.00, 34, 0 1 3
44.10, 32, 1 0 4
44.31, 68, 1 1 3
48.10, 25, 2 0 0
50.07, 22, 0 2 0
62.01, 16, 2 0 4
68.90, 15, 1 2 4

Structure:
```
data_Sc2NiP
_chemical_formula_sum 'Sc4 Ni2 P2'
_symmetry_space_group_name_H-M 'A m m 2'
_symmetry_Int_Tables_number 38
_cell_length_a 3.7835
_cell_length_b 3.6434
_cell_length_c 9.7806
_cell_angle_alpha 90.00
_cell_angle_beta 90.00
_cell_angle_gamma 90.00
loop_
_symmetry_equiv_pos_as_xyz
'x,y,z'
'-x,-y,z'
'-x,y,z'
'x,-y,z'
'x,y+1/2,z+1/2'
'-x,-y+1/2,z+1/2'
'-x,y+1/2,z+1/2'
'x,-y+1/2,z+1/2'
loop_
_atom_site_label
_atom_site_type_symbol
_atom_site_fract_x
_atom_site_fract_y
_atom_site_fract_z
_atom_site_occupancy
Sc1 Sc 0.0000 0.0000 0.0000 1
Sc2 Sc 0.5000 0.0000 0.2839 1
Ni1 Ni 0.5000 0.0000 0.5675 1
P1 P 0.0000 0.0000 0.7153 1
```

For SmScNi2P2, a DFT-relaxed cell (PBE, Alexandria) gives the theoretical X-ray powder pattern in this record (a wavelength of 1.5418 Å).

Top 10 peaks for 10 to 80 degrees two-theta, low angle first:
2θ (°), Rel. int., hkl
11.74, 16, 0 0 1
26.58, 13, 1 0 0
29.14, 35, 1 0 1
35.72, 6, 0 0 3
35.84, 100, 0 1 2
46.93, 41, 1 1 0
48.28, 11, 0 0 4
60.40, 29, 2 0 2
69.61, 21, 1 1 4
79.83, 18, 1 2 2

Structure:
```
data_SmScNi2P2
_chemical_formula_sum 'Sm1 Sc1 Ni2 P2'
_symmetry_space_group_name_H-M 'P -3 m 1'
_symmetry_Int_Tables_number 164
_symmetry_space_group_name_Hall '-P 3 2"'
_cell_length_a 3.8723
_cell_length_b 3.8723
_cell_length_c 7.5400
_cell_angle_alpha 90.00
_cell_angle_beta 90.00
_cell_angle_gamma 120.00
loop_
_atom_site_label
_atom_site_type_symbol
_atom_site_fract_x
_atom_site_fract_y
_atom_site_fract_z
_atom_site_occupancy
Sm1 Sm 0.0000 0.0000 0.0000 1
Sc1 Sc 0.0000 0.0000 0.5000 1
Ni1 Ni 0.3333 0.6667 0.7286 1
P1 P 0.3333 0.6667 0.2677 1
```

For TcNiP2Se, a DFT-relaxed cell (PBE, Alexandria) gives the theoretical X-ray powder pattern in this record (a wavelength of 1.5418 Å).

Top 10 peaks for 10 to 80 degrees two-theta, low angle first:
2θ (°), Rel. int., hkl
12.23, 51, 0 0 1
24.61, 100, 0 0 2
28.40, 70, 2 0 1
31.94, 68, 1 1 0
32.76, 55, 2 0 -2
33.82, 62, 1 1 -1
34.82, 78, 1 1 1
47.71, 81, 3 1 0
48.78, 64, 1 1 -3
50.99, 54, 1 1 3

Structure:
```
data_TcNiP2Se
_chemical_formula_sum 'Tc2 Ni2 P4 Se2'
_symmetry_space_group_name_H-M 'C 1 m 1'
_symmetry_Int_Tables_number 8
_cell_length_a 7.4009
_cell_length_b 3.0302
_cell_length_c 7.2784
_cell_angle_alpha 90.00
_cell_angle_beta 96.31
_cell_angle_gamma 90.00
loop_
_symmetry_equiv_pos_as_xyz
'x,y,z'
'x,-y,z'
'x+1/2,y+1/2,z'
'x+1/2,-y+1/2,z'
loop_
_atom_site_label
_atom_site_type_symbol
_atom_site_fract_x
_atom_site_fract_y
_atom_site_fract_z
_atom_site_occupancy
Tc1 Tc 0.0000 0.0000 0.0000 1
Ni1 Ni 0.4147 0.5000 0.3598 1
P1 P 0.1872 0.5000 0.8425 1
P2 P 0.3066 0.0000 0.1496 1
Se1 Se 0.1427 0.5000 0.5076 1
```

For TcNiP2Se, a DFT-relaxed cell (PBE, Alexandria) gives the theoretical X-ray powder pattern in this record (a wavelength of 1.5418 Å).

Top 10 peaks for 10 to 80 degrees two-theta, low angle first:
2θ (°), Rel. int., hkl
11.53, 58, 0 0 1
30.17, 100, 1 1 -1
32.52, 34, 2 0 -2
34.65, 40, 2 0 1
35.12, 32, 0 0 3
40.23, 47, 1 1 2
43.10, 27, 1 1 -3
49.53, 33, 1 1 3
52.04, 27, 0 2 0
52.33, 49, 3 1 -2

Structure:
```
data_TcNiP2Se
_chemical_formula_sum 'Tc2 Ni2 P4 Se2'
_symmetry_space_group_name_H-M 'C 1 m 1'
_symmetry_Int_Tables_number 8
_cell_length_a 6.2653
_cell_length_b 3.5144
_cell_length_c 7.9569
_cell_angle_alpha 90.00
_cell_angle_beta 105.29
_cell_angle_gamma 90.00
loop_
_symmetry_equiv_pos_as_xyz
'x,y,z'
'x,-y,z'
'x+1/2,y+1/2,z'
'x+1/2,-y+1/2,z'
loop_
_atom_site_label
_atom_site_type_symbol
_atom_site_fract_x
_atom_site_fract_y
_atom_site_fract_z
_atom_site_occupancy
Tc1 Tc 0.0000 0.0000 0.0000 1
Ni1 Ni 0.0780 0.5000 0.7330 1
P1 P 0.2782 0.0000 0.8303 1
P2 P 0.3858 0.0000 0.1703 1
Se1 Se 0.3522 0.0000 0.4500 1
```

Which formula does entry 12 have? TcNiP2Se